Diffraction record for Ca2NiF6. The powder X-ray diffraction pattern is simulated, not measured: it uses a cell relaxed with PBE+U and Cu Kα.

Structure:
a b c (Å): 5.065 5.065 10.231
angles (deg): 90.00 90.00 90.00
Atoms (fractional coordinates):
Ca 0.000 0.000 0.166
Ca 0.000 0.000 0.834
Ca 0.500 0.500 0.334
Ca 0.500 0.500 0.666
Ni 0.000 0.000 0.500
Ni 0.500 0.500 0.000
F 0.186 0.186 0.347
F 0.186 0.186 0.653
F 0.214 0.214 0.000
F 0.286 0.714 0.500
F 0.314 0.686 0.153
F 0.314 0.686 0.847
F 0.686 0.314 0.153
F 0.686 0.314 0.847
F 0.714 0.286 0.500
F 0.786 0.786 0.000
F 0.814 0.814 0.347
F 0.814 0.814 0.653

Principal peaks in the range 10 to 90 degrees two-theta, by intensity:
(hkl)  2θ/deg  Rel. int.
1 1 0  24.9  100
2 1 3  48.2  69
1 0 3  31.6  48
3 0 3  61.3  28
1 1 3  36.4  27
2 2 0  51.0  21
1 1 6  60.1  14
1 0 1  19.6  12
0 0 6  53.8  12
2 2 6  77.3  10
2 1 0  39.8  9
3 1 0  57.5  9